GaCu2As: calculated powder X-ray diffraction pattern (Cu Kα, 1.54184 Å), based on a crystal structure in OQMD, relaxed with GGA-PBE.
No peak broadening, texture or thermal motion is included.

Crystal structure
a b c (Å): 6.222 6.222 6.222
angles (deg): 90.00 90.00 90.00
Space group Pm-3m (No. 221)
Symmetry-distinct sites (fractional):
Ga (0.000, 0.000, 0.000) (multiplicity 1)
Ga (0.000, 0.000, 0.500) (multiplicity 3)
Cu (0.244, 0.244, 0.244) (multiplicity 8)
As (0.000, 0.500, 0.500) (multiplicity 3)
As (0.500, 0.500, 0.500) (multiplicity 1)

Main lines, in order of rising 2θ (10 to 80 degrees two-theta):
2θ (°)  Rel. int.  hkl
41.03  100  2 2 0
59.42  16  4 0 0
74.74  31  4 2 2